Record 1
Calculated powder diffraction line list of AsAu2I6 for a wavelength of 1.5418 Å, from DFT lattice parameters and positions (GGA-PBE).
Intensities are scaled so that the largest is 100.

abc: 10.242 10.242 7.377
angles: 91.69 91.69 78.30
Fractional coordinates of all 18 atoms:
As1 0.082 0.918 0.750
As2 0.918 0.082 0.250
Au1 0.325 0.469 0.742
Au2 0.469 0.325 0.242
Au3 0.531 0.675 0.758
Au4 0.675 0.531 0.258
I1 0.035 0.175 0.578
I2 0.124 0.649 0.890
I3 0.175 0.035 0.078
I4 0.268 0.494 0.379
I5 0.351 0.876 0.610
I6 0.494 0.268 0.879
I7 0.506 0.732 0.121
I8 0.649 0.124 0.390
I9 0.732 0.506 0.621
I10 0.825 0.965 0.922
I11 0.876 0.351 0.110
I12 0.965 0.825 0.422

Peak list (6 most intense, 10 to 80 degrees two-theta, in order of falling intensity)
two_theta	I_rel
22.40	100
29.07	48
11.15	47
27.06	43
42.54	43
24.46	33

***

Record 2
Calculated powder diffraction line list of LiCa2InGe2 for a wavelength of 1.5418 Å, from DFT lattice parameters and positions (GGA-PBE).
Intensities are scaled so that the largest is 100.

abc: 7.257 4.460 16.925
angles: 90.00 90.00 90.00
Fractional coordinates of all 24 atoms:
Li1 0.011 0.250 0.067
Li2 0.489 0.750 0.567
Li3 0.511 0.250 0.433
Li4 0.989 0.750 0.933
Ca1 0.011 0.250 0.780
Ca2 0.157 0.250 0.563
Ca3 0.343 0.750 0.063
Ca4 0.489 0.750 0.280
Ca5 0.511 0.250 0.720
Ca6 0.657 0.250 0.937
Ca7 0.843 0.750 0.437
Ca8 0.989 0.750 0.220
In1 0.158 0.250 0.347
In2 0.342 0.750 0.847
In3 0.658 0.250 0.153
In4 0.842 0.750 0.653
Ge1 0.227 0.250 0.938
Ge2 0.227 0.750 0.686
Ge3 0.273 0.250 0.186
Ge4 0.273 0.750 0.438
Ge5 0.727 0.250 0.562
Ge6 0.727 0.750 0.814
Ge7 0.773 0.250 0.314
Ge8 0.773 0.750 0.062

Peak list (6 most intense, 10 to 80 degrees two-theta, in order of falling intensity)
two_theta	I_rel
33.23	100
40.45	49
35.65	39
24.53	36
32.24	34
31.79	34

***

Record 3
Calculated powder diffraction line list of TbYTeAs for a wavelength of 1.5418 Å, from DFT lattice parameters and positions (GGA-PBE).
Intensities are scaled so that the largest is 100.

abc: 7.708 7.708 7.708
angles: 31.29 31.29 31.29
Fractional coordinates of all 4 atoms:
Tb1 0.000 0.000 0.000
Y1 0.189 0.189 0.189
Te1 0.428 0.428 0.428
As1 0.597 0.597 0.597

Peak list (6 most intense, 10 to 80 degrees two-theta, in order of falling intensity)
two_theta	I_rel
32.14	100
43.54	53
26.05	41
38.03	37
29.67	23
55.14	21

***

Record 4
Calculated powder diffraction line list of AcPmPr2Y5 for a wavelength of 1.5418 Å, from DFT lattice parameters and positions (GGA-PBE).
Intensities are scaled so that the largest is 100.

abc: 10.152 10.152 10.152
angles: 128.17 128.17 76.35
Fractional coordinates of all 18 atoms:
Ac1 0.250 0.750 0.500
Ac2 0.750 0.250 0.500
Pm1 0.250 0.250 0.000
Pm2 0.750 0.750 0.000
Pr1 0.116 0.616 0.732
Pr2 0.384 0.116 0.500
Pr3 0.616 0.884 0.500
Pr4 0.884 0.384 0.268
Y1 0.000 0.000 0.000
Y2 0.079 0.154 0.500
Y3 0.154 0.654 0.075
Y4 0.346 0.421 0.500
Y5 0.421 0.921 0.075
Y6 0.500 0.500 0.000
Y7 0.579 0.079 0.925
Y8 0.654 0.579 0.500
Y9 0.846 0.346 0.925
Y10 0.921 0.846 0.500

Peak list (6 most intense, 10 to 80 degrees two-theta, in order of falling intensity)
two_theta	I_rel
30.12	100
28.45	50
28.05	38
42.31	27
51.44	26
54.51	18

***

Record 5
Calculated powder diffraction line list of NaCuBiTe2 for a wavelength of 1.5418 Å, from DFT lattice parameters and positions (GGA-PBE).
Intensities are scaled so that the largest is 100.

abc: 7.812 4.287 9.091
angles: 90.00 98.11 90.00
Fractional coordinates of all 10 atoms:
Na1 0.000 0.145 0.250
Na2 0.000 0.855 0.750
Cu1 0.500 0.000 0.000
Cu2 0.500 0.000 0.500
Bi1 0.500 0.481 0.750
Bi2 0.500 0.519 0.250
Te1 0.230 0.348 0.971
Te2 0.230 0.652 0.471
Te3 0.770 0.348 0.529
Te4 0.770 0.652 0.029

Peak list (6 most intense, 10 to 80 degrees two-theta, in order of falling intensity)
two_theta	I_rel
11.44	100
32.10	50
35.27	49
28.23	45
40.10	41
20.72	39

***

Record 6
Calculated powder diffraction line list of Pu4CdRh2 for a wavelength of 1.5418 Å, from DFT lattice parameters and positions (GGA-PBE).
Intensities are scaled so that the largest is 100.

abc: 7.638 7.638 7.638
angles: 37.74 37.74 37.74
Fractional coordinates of all 7 atoms:
Pu1 0.072 0.072 0.072
Pu2 0.239 0.239 0.239
Pu3 0.761 0.761 0.761
Pu4 0.928 0.928 0.928
Cd1 0.500 0.500 0.500
Rh1 0.367 0.367 0.367
Rh2 0.633 0.633 0.633

Peak list (6 most intense, 10 to 80 degrees two-theta, in order of falling intensity)
two_theta	I_rel
36.33	100
65.40	25
44.72	20
25.14	15
52.31	14
77.23	7

***

Record 7
Calculated powder diffraction line list of Na5B7C3 for a wavelength of 1.5418 Å, from DFT lattice parameters and positions (GGA-PBE).
Intensities are scaled so that the largest is 100.

abc: 2.894 2.894 42.712
angles: 90.00 90.00 120.00
Fractional coordinates of all 30 atoms:
Na1 0.000 0.000 0.000
Na2 0.000 0.000 0.098
Na3 0.000 0.000 0.197
Na4 0.000 0.000 0.296
Na5 0.000 0.000 0.397
Na6 0.000 0.000 0.500
Na7 0.000 0.000 0.602
Na8 0.000 0.000 0.700
Na9 0.000 0.000 0.799
Na10 0.000 0.000 0.901
B1 0.333 0.667 0.049
B2 0.333 0.667 0.246
B3 0.333 0.667 0.346
B4 0.333 0.667 0.449
B5 0.333 0.667 0.551
B6 0.333 0.667 0.651
B7 0.333 0.667 0.850
B8 0.667 0.333 0.148
B9 0.667 0.333 0.346
B10 0.667 0.333 0.449
B11 0.667 0.333 0.551
B12 0.667 0.333 0.750
B13 0.667 0.333 0.850
B14 0.667 0.333 0.951
C1 0.333 0.667 0.148
C2 0.333 0.667 0.750
C3 0.333 0.667 0.951
C4 0.667 0.333 0.049
C5 0.667 0.333 0.246
C6 0.667 0.333 0.651

Peak list (6 most intense, 10 to 80 degrees two-theta, in order of falling intensity)
two_theta	I_rel
41.79	100
42.32	24
35.83	19
64.38	18
79.74	11
77.03	11

***

Record 8
Calculated powder diffraction line list of Sr2CeIr9 for a wavelength of 1.5418 Å, from DFT lattice parameters and positions (GGA-PBE).
Intensities are scaled so that the largest is 100.

abc: 9.433 9.433 9.433
angles: 33.22 33.22 33.22
Fractional coordinates of all 12 atoms:
Sr1 0.142 0.142 0.142
Sr2 0.858 0.858 0.858
Ce1 0.000 0.000 0.000
Ir1 0.085 0.576 0.576
Ir2 0.332 0.332 0.332
Ir3 0.424 0.424 0.915
Ir4 0.424 0.915 0.424
Ir5 0.500 0.500 0.500
Ir6 0.576 0.085 0.576
Ir7 0.576 0.576 0.085
Ir8 0.668 0.668 0.668
Ir9 0.915 0.424 0.424

Peak list (6 most intense, 10 to 80 degrees two-theta, in order of falling intensity)
two_theta	I_rel
39.05	100
19.29	46
42.24	41
45.52	35
40.53	32
38.71	28